# 1
Diffraction record for Rb3Ce2O4F3. The X-ray diffraction stick pattern is calculated, not measured: it uses the GGA-PBE geometry in Alexandria and Cu Ka.
Peak positions follow from Bragg's law for the DFT cell and can differ from measured ones.

The 12 most intense peaks (10 to 80 degrees two-theta), sorted by position:
2theta	Rel. int.	hkl
14.90	10.4	0 0 4
26.53	50.4	0 1 5
27.78	100.0	1 1 0
37.82	17.1	0 0 10
37.93	18.8	0 2 0
41.44	14.7	2 0 0
47.61	44.1	1 1 10
49.89	18.0	2 1 5
54.64	11.1	0 2 10
57.39	20.0	2 2 0
70.83	9.9	2 2 10
75.36	11.0	1 3 10

Cell: 4.3577 4.7447 23.7878 Å, 90.00 90.00 90.00°
Space group Immm (No. 71)
Unique sites:
Rb: 0.0000 0.0000 0.0000 x2
Rb: 0.0000 0.0000 0.1945 x4
Ce: 0.0000 0.0000 0.3966 x4
O: 0.0000 0.0000 0.3126 x4
O: 0.0000 0.5000 0.0941 x4
F: 0.0000 0.0000 0.5000 x2
F: 0.0000 0.5000 0.4083 x4

---

# 2
Diffraction record for RbCeOF2. The X-ray diffraction stick pattern is calculated, not measured: it uses the GGA-PBE geometry in Alexandria and Cu Ka.
Peak positions follow from Bragg's law for the DFT cell and can differ from measured ones.

The 12 most intense peaks (10 to 80 degrees two-theta), sorted by position:
2theta	Rel. int.	hkl
18.73	12.9	1 1 0
26.61	58.8	2 0 0
27.36	100.0	1 1 2
37.98	35.1	2 2 0
40.14	16.9	0 0 4
47.44	52.3	3 1 2
48.81	22.2	2 0 4
56.45	21.1	2 2 4
61.93	13.5	4 2 0
75.35	11.1	5 1 2
76.41	14.2	4 2 4
78.15	12.1	3 1 6

Cell: 6.7009 6.7009 8.9855 Å, 90.00 90.00 90.00°
Space group I4/mcm (No. 140)
Unique sites:
Rb: 0.0000 0.5000 0.2500 x4
Ce: 0.0000 0.0000 0.0000 x4
O: 0.0000 0.0000 0.2500 x4
F: 0.1927 0.3073 0.0000 x8

---

# 3
Diffraction record for CeSO4F. The X-ray diffraction stick pattern is calculated, not measured: it uses the GGA-PBE geometry in Alexandria and Cu Ka.
Peak positions follow from Bragg's law for the DFT cell and can differ from measured ones.

The 12 most intense peaks (10 to 80 degrees two-theta), sorted by position:
2theta	Rel. int.	hkl
13.74	80.4	0 0 1
19.09	59.6	1 1 -1
19.74	69.6	2 0 0
24.46	100.0	0 2 0
26.98	45.6	2 0 1
29.56	63.4	1 1 -2
31.62	23.0	2 2 0
31.91	42.2	3 1 -1
37.31	24.2	3 1 -2
40.05	28.2	1 3 -1
46.34	27.7	1 3 -2
47.97	22.1	3 3 -1

Cell: 9.3198 7.2794 6.6774 Å, 90.00 105.17 90.00°
Space group C2/m (No. 12)
Unique sites:
Ce: 0.2105 0.0000 0.1346 x4
S: 0.1472 0.5000 0.2701 x4
O: 0.0124 0.5000 0.7448 x4
O: 0.1878 0.3368 0.1557 x8
O: 0.2367 0.5000 0.4861 x4
F: 0.0242 0.0000 0.8210 x4

---

# 4
Diffraction record for CeTcO4F. The X-ray diffraction stick pattern is calculated, not measured: it uses the GGA-PBE geometry in Alexandria and Cu Ka.
Peak positions follow from Bragg's law for the DFT cell and can differ from measured ones.

The 12 most intense peaks (10 to 80 degrees two-theta), sorted by position:
2theta	Rel. int.	hkl
13.15	57.4	0 0 1
18.92	62.8	2 0 0
24.23	100.0	0 2 0
26.13	53.0	2 0 1
28.15	83.0	1 1 -2
30.31	44.4	3 1 -1
35.14	30.8	3 1 -2
35.93	26.7	2 2 1
45.13	31.2	1 3 -2
45.93	30.7	1 1 3
46.59	21.1	3 3 -1
47.99	23.9	5 1 -1

Cell: 9.8123 7.3476 7.0431 Å, 90.00 107.02 90.00°
Space group C2/m (No. 12)
Unique sites:
Ce: 0.2081 0.0000 0.1000 x4
Tc: 0.1479 0.5000 0.2902 x4
O: 0.0401 0.5000 0.7624 x4
O: 0.2040 0.3181 0.1485 x8
O: 0.2435 0.5000 0.5449 x4
F: 0.0116 0.0000 0.8259 x4

---

# 5
Diffraction record for CePa2F11. The X-ray diffraction stick pattern is calculated, not measured: it uses the GGA-PBE geometry in Alexandria and Cu Ka.
Peak positions follow from Bragg's law for the DFT cell and can differ from measured ones.

The 12 most intense peaks (10 to 80 degrees two-theta), sorted by position:
2theta	Rel. int.	hkl
15.47	53.1	0 0 2
20.41	78.8	1 1 2
21.11	69.2	1 2 1
22.80	73.2	0 2 2
23.64	100.0	2 1 1
27.18	26.0	1 3 0
31.23	20.6	0 0 4
32.48	28.0	2 1 3
41.87	30.8	1 3 4
42.72	26.9	1 4 3
43.57	46.7	3 3 2
45.56	29.1	4 2 0

Cell: 8.5921 10.6485 11.4567 Å, 90.00 90.00 90.00°
Space group Ibam (No. 72)
Unique sites:
Ce: 0.0000 0.0000 0.2500 x4
Pa: 0.1483 0.3185 0.0000 x8
F: 0.0000 0.5000 0.0000 x4
F: 0.0932 0.1794 0.1397 x16
F: 0.1292 0.2858 0.5000 x8
F: 0.2217 0.0730 0.3652 x16

---

# 6
Diffraction record for CePuF4. The X-ray diffraction stick pattern is calculated, not measured: it uses the GGA-PBE geometry in Alexandria and Cu Ka.
Peak positions follow from Bragg's law for the DFT cell and can differ from measured ones.

The 12 most intense peaks (10 to 80 degrees two-theta), sorted by position:
2theta	Rel. int.	hkl
20.75	100.0	2 0 0
29.51	26.3	2 2 0
30.78	68.8	1 1 2
42.23	23.3	4 0 0
43.16	64.4	3 1 2
47.50	23.5	4 2 0
53.15	19.9	3 3 2
59.89	12.5	2 0 4
61.97	17.6	5 1 2
70.11	13.9	5 3 2
72.12	9.4	4 0 4
75.99	12.3	4 2 4

Cell: 8.5607 8.5607 6.6230 Å, 90.00 90.00 90.00°
Space group I4_1md (No. 109)
Unique sites:
Ce: 0.0000 0.0000 0.0000 x4
Pu: 0.0000 0.0000 0.5003 x4
F: 0.0000 0.2785 0.0047 x8
F: 0.0000 0.2812 0.4887 x8